This entry pairs a crystal structure of Cs2MnInO4 with its simulated powder diffraction line list. Radiation: Cu Kα, 1.54184 Å. Structure: a crystal structure in Alexandria, relaxed with GGA+U.
Peak positions follow from Bragg's law for the DFT cell and can differ from measured ones.

Main lines, by intensity (10° ≤ 2θ ≤ 80°):
2theta	I_rel
27.6	100
33.9	61
48.4	59
26.6	51
16.0	48
32.4	48
26.3	45
17.2	44
20.7	39
28.0	30
39.7	29
51.8	28

Atomic structure:
Unit cell a=12.929 b=11.423 c=7.301 alpha=84.28 beta=61.53 gamma=34.18
Sites, in units of the cell vectors:
Cs 0.058 0.058 0.692
Cs 0.308 0.308 0.942
Cs 0.692 0.692 0.058
Cs 0.942 0.942 0.308
Mn 0.375 0.375 0.375
Mn 0.625 0.625 0.625
In 0.125 0.125 0.125
In 0.875 0.875 0.875
O 0.022 0.671 0.541
O 0.266 0.541 0.671
O 0.329 0.978 0.734
O 0.459 0.734 0.978
O 0.541 0.266 0.022
O 0.671 0.022 0.266
O 0.734 0.459 0.329
O 0.978 0.329 0.459